(1)
This entry pairs a crystal structure of Dy3ScTe2C2 with its computed powder X-ray diffraction pattern. Radiation: Cu Ka. Structure: a DFT-relaxed cell (PBE, OQMD).
Peak positions follow from Bragg's law for the DFT cell and can differ from measured ones.

Atomic structure:
a = 3.7720 Å, b = 3.7720 Å, c = 13.8296 Å
α = 90.00°, β = 90.00°, γ = 120.00°
Space group P3m1 (No. 156)
One atom of each set of equivalent atoms:
Dy 0.0000 0.0000 0.0000 x1
Dy 0.0000 0.0000 0.3225 x1
Dy 0.3333 0.6667 0.5131 x1
Sc 0.3333 0.6667 0.8208 x1
Te 0.0000 0.0000 0.6755 x1
Te 0.3333 0.6667 0.1612 x1
C 0.6667 0.3333 0.4181 x1
C 0.6667 0.3333 0.9068 x1

The 12 most intense peaks (15° ≤ 2θ ≤ 90°), low angle first:
Position (°2θ), d_spacing, Rel. int., h k l
27.30, 3.267, 28, 1 0 0
28.07, 3.179, 4, 0 1 1
30.26, 2.954, 7, 1 0 2
33.63, 2.665, 100, 1 0 3
39.08, 2.305, 13, 0 0 6
48.28, 1.885, 39, 1 1 0
60.10, 1.540, 19, 0 2 3
63.76, 1.460, 18, 1 1 6
67.34, 1.390, 10, 1 0 9
70.69, 1.333, 4, 2 0 6
80.54, 1.193, 16, 2 1 3
87.07, 1.119, 5, 0 2 9

(2)
This entry pairs a crystal structure of Tb2H4C5O13 with its computed powder X-ray diffraction pattern. Radiation: Cu Ka. Structure: a DFT-relaxed cell (PBE, OQMD).
Peak positions follow from Bragg's law for the DFT cell and can differ from measured ones.

Atomic structure:
a = 5.714 Å, b = 8.012 Å, c = 12.592 Å
α = 106.91°, β = 90.76°, γ = 102.38°
Space group P-1 (No. 2)
One atom of each set of equivalent atoms:
Tb 0.038 0.049 0.276 x2
Tb 0.305 0.665 0.072 x2
H 0.208 0.698 0.570 x2
H 0.364 0.811 0.327 x2
H 0.390 0.713 0.671 x2
H 0.489 0.989 0.635 x2
C 0.055 0.314 0.139 x2
C 0.084 0.094 0.525 x2
C 0.220 0.286 0.853 x2
C 0.255 0.416 0.233 x2
C 0.434 0.056 0.046 x2
O 0.003 0.743 0.180 x2
O 0.027 0.388 0.064 x2
O 0.072 0.833 0.859 x2
O 0.111 0.200 0.466 x2
O 0.182 0.127 0.621 x2
O 0.273 0.771 0.645 x2
O 0.309 0.974 0.106 x2
O 0.311 0.327 0.295 x2
O 0.324 0.153 0.825 x2
O 0.341 0.578 0.243 x2
O 0.343 0.439 0.913 x2
O 0.347 0.936 0.350 x2
O 0.460 0.218 0.055 x2

The 12 most intense peaks (15° ≤ 2θ ≤ 90°), low angle first:
Position (°2θ), d_spacing, Rel. int., h k l
15.92, 5.566, 100, 0 1 -2
18.11, 4.898, 36, 1 0 1
19.95, 4.450, 34, -1 1 1
22.00, 4.040, 28, 1 1 0
22.65, 3.925, 33, 1 0 2
24.47, 3.637, 36, -1 1 2
25.53, 3.489, 20, 1 -2 0
31.26, 2.861, 20, 1 2 -2
31.66, 2.826, 21, 2 -1 0
32.16, 2.783, 20, 0 2 -4
32.71, 2.738, 31, 1 0 -4
34.59, 2.593, 19, 0 3 -1

(3)
This entry pairs a crystal structure of AuI3 with its computed powder X-ray diffraction pattern. Radiation: Cu Ka. Structure: a DFT-relaxed cell (PBE, OQMD).
Peak positions follow from Bragg's law for the DFT cell and can differ from measured ones.

Atomic structure:
a = 7.4226 Å, b = 7.4226 Å, c = 17.6123 Å
α = 90.00°, β = 90.00°, γ = 120.00°
Space group R-3 (No. 148, hexagonal axes)
One atom of each set of equivalent atoms:
Au 0.0000 0.0000 0.1643 x6
I 0.0094 0.3533 0.4103 x18

The 12 most intense peaks (15° ≤ 2θ ≤ 90°), low angle first:
Position (°2θ), d_spacing, Rel. int., h k l
15.09, 5.871, 11, 0 0 3
17.08, 5.192, 14, 0 1 2
28.45, 3.137, 100, 1 1 3
39.13, 2.302, 42, 2 -1 6
42.17, 2.143, 36, 3 0 0
51.66, 1.769, 18, 4 -2 3
52.89, 1.731, 15, 2 -1 9
58.88, 1.569, 12, 2 2 6
64.49, 1.445, 7, 0 3 9
68.81, 1.364, 16, 1 4 3
75.05, 1.266, 12, 5 -4 6
79.08, 1.211, 11, 3 0 12

(4)
This entry pairs a crystal structure of In2W8C3N3 with its computed powder X-ray diffraction pattern. Radiation: Cu Ka. Structure: a DFT-relaxed cell (PBE, OQMD).
Peak positions follow from Bragg's law for the DFT cell and can differ from measured ones.

Atomic structure:
a = 3.1444 Å, b = 3.1444 Å, c = 23.7688 Å
α = 90.00°, β = 90.00°, γ = 120.00°
Space group P-3m1 (No. 164)
One atom of each set of equivalent atoms:
In 0.3333 0.6667 0.2518 x2
W 0.0000 0.0000 0.1496 x2
W 0.0000 0.0000 0.3501 x2
W 0.3333 0.6667 0.0558 x2
W 0.3333 0.6667 0.4532 x2
C 0.0000 0.0000 0.0000 x1
C 0.3333 0.6667 0.8923 x2
N 0.0000 0.0000 0.5000 x1
N 0.3333 0.6667 0.6001 x2

The 12 most intense peaks (15° ≤ 2θ ≤ 90°), low angle first:
Position (°2θ), d_spacing, Rel. int., h k l
33.11, 2.705, 30, 0 1 1
33.77, 2.654, 29, 1 0 2
36.29, 2.476, 96, 1 0 4
37.85, 2.377, 62, 0 0 10
38.08, 2.363, 100, 0 1 5
40.19, 2.244, 94, 1 0 6
45.17, 2.007, 18, 1 0 8
58.73, 1.572, 63, 1 1 0
64.70, 1.441, 20, 1 0 14
68.51, 1.370, 16, 0 1 15
72.02, 1.311, 58, 1 1 10
73.56, 1.288, 16, 0 2 6

Copy entry 3 word for word.
This entry pairs a crystal structure of AuI3 with its computed powder X-ray diffraction pattern. Radiation: Cu Ka. Structure: a DFT-relaxed cell (PBE, OQMD).
Peak positions follow from Bragg's law for the DFT cell and can differ from measured ones.

Atomic structure:
a = 7.4226 Å, b = 7.4226 Å, c = 17.6123 Å
α = 90.00°, β = 90.00°, γ = 120.00°
Space group R-3 (No. 148, hexagonal axes)
One atom of each set of equivalent atoms:
Au 0.0000 0.0000 0.1643 x6
I 0.0094 0.3533 0.4103 x18

The 12 most intense peaks (15° ≤ 2θ ≤ 90°), low angle first:
Position (°2θ), d_spacing, Rel. int., h k l
15.09, 5.871, 11, 0 0 3
17.08, 5.192, 14, 0 1 2
28.45, 3.137, 100, 1 1 3
39.13, 2.302, 42, 2 -1 6
42.17, 2.143, 36, 3 0 0
51.66, 1.769, 18, 4 -2 3
52.89, 1.731, 15, 2 -1 9
58.88, 1.569, 12, 2 2 6
64.49, 1.445, 7, 0 3 9
68.81, 1.364, 16, 1 4 3
75.05, 1.266, 12, 5 -4 6
79.08, 1.211, 11, 3 0 12